Simulated PXRD pattern
Compound: CsInSe2
Radiation: CuKα
Structure: the GGA-PBE geometry in the Materials Project
Peak positions follow from Bragg's law for the DFT cell and can differ from measured ones.

The 6 most intense peaks (10 to 90 degrees two-theta), low angle first:
d [Å]  I/Imax  h k l
4.185  25  2 2 -1
3.953  24  2 2 1
3.186  100  2 2 3
2.109  35  4 4 -1
1.884  35  4 0 -8
1.758  34  6 2 -5

Structural model:
abc: 11.9296 11.9276 17.2795
angles: 90.00 99.92 90.00
Space group C2/c (No. 15)
One atom of each set of equivalent atoms:
Cs 0.0366 0.1873 0.3956 [8 per cell]
Cs 0.2146 0.4374 0.1083 [8 per cell]
In 0.1032 0.1881 0.6664 [8 per cell]
In 0.1451 0.4368 0.8331 [8 per cell]
Se 0.0000 0.0515 0.7500 [4 per cell]
Se 0.0000 0.4264 0.2500 [4 per cell]
Se 0.0447 0.3126 0.9277 [8 per cell]
Se 0.2056 0.0621 0.5734 [8 per cell]
Se 0.2391 0.1877 0.2500 [8 per cell]